This entry pairs a crystal structure of Nd4GaAg3 with its computed powder diffractogram. Radiation: copper Kα. Structure: a structure optimized by DFT (GGA-PBE).
Kinematic intensities with the Lorentz-polarization factor, no thermal factor.

The 10 most intense peaks (10 to 90 degrees two-theta), low angle first:
d (Å)  Rel. int.
2.933  24
2.890  100
2.725  37
2.504  38
2.406  35
2.371  52
1.900  17
1.804  22
1.533  16
1.293  18

Structural model:
```
Nd4GaAg3
1.0
3.7995 0.0000 0.0000
0.0000 4.8121 0.0000
0.0000 0.0000 11.7309
Nd Ga Ag
4 1 3
Direct
0.0000 0.0000 0.0000
0.0000 0.5000 0.2921
0.5000 0.0000 0.4949
0.5000 0.5000 0.7902
0.5000 0.0000 0.2233
0.0000 0.0000 0.7196
0.0000 0.5000 0.5706
0.5000 0.5000 0.0713
```


This entry pairs a crystal structure of Ni5Te with its computed powder diffractogram. Radiation: copper Kα. Structure: a structure optimized by DFT (GGA-PBE).
Kinematic intensities with the Lorentz-polarization factor, no thermal factor.

The 10 most intense peaks (10 to 90 degrees two-theta), low angle first:
d (Å)  Rel. int.
3.503  3
2.543  4
2.118  100
1.849  32
1.806  15
1.308  10
1.292  18
1.113  11
1.112  11
1.094  10

Structural model:
```
Ni5Te
1.0
1.8508 -5.4179 0.0000
1.8508 5.4179 0.0000
0.0000 0.0000 3.6962
Ni Te
5 1
Direct
0.0000 0.0000 0.0000
0.1715 0.8285 0.5000
0.3270 0.6730 0.0000
0.6730 0.3270 0.0000
0.8285 0.1715 0.5000
0.5000 0.5000 0.5000
```


This entry pairs a crystal structure of TmAl9Co2 with its computed powder diffractogram. Radiation: copper Kα. Structure: a structure optimized by DFT (GGA-PBE).
Kinematic intensities with the Lorentz-polarization factor, no thermal factor.

The 10 most intense peaks (10 to 90 degrees two-theta), low angle first:
d (Å)  Rel. int.
5.295  22
3.868  64
3.060  24
2.690  47
2.648  18
2.369  100
2.187  23
1.686  19
1.368  22
1.184  19

Structural model:
```
TmAl9Co2
1.0
-5.2950 5.2950 3.3529
5.2950 -5.2950 3.3529
5.2950 5.2950 -3.3529
Tm Al Co
2 18 4
Direct
0.3750 0.6250 0.7500
0.6250 0.3750 0.2500
0.1250 0.8750 0.2500
0.1327 0.5657 0.3241
0.1327 0.8086 0.5670
0.1914 0.2584 0.3241
0.1914 0.8673 0.9330
0.2584 0.1914 0.8241
0.2584 0.4343 0.0670
0.4343 0.2584 0.5670
0.4343 0.8673 0.1759
0.5657 0.1327 0.8241
0.5657 0.7416 0.4330
0.7416 0.5657 0.9330
0.7416 0.8086 0.1759
0.8086 0.1327 0.0670
0.8086 0.7416 0.6759
0.8673 0.1914 0.4330
0.8673 0.4343 0.6759
0.8750 0.1250 0.7500
0.0000 0.0000 0.0000
0.0000 0.0000 0.5000
0.0000 0.5000 0.0000
0.5000 0.0000 0.5000
```